Structure and computed PXRD pattern of NaLi2RhF6 (a PBE-relaxed structure; Cu Kα (λ = 1.5418 Å)).
Intensities are scaled so that the largest is 1000.

Main lines, in order of rising 2θ (10° ≤ 2θ ≤ 80°):
- 18.55 deg, rel. 567
- 21.45 deg, rel. 1000
- 30.51 deg, rel. 316
- 35.95 deg, rel. 247
- 43.70 deg, rel. 362
- 49.17 deg, rel. 385
- 63.51 deg, rel. 201
- 67.87 deg, rel. 165

Structure:
```
NaLi2RhF6
1.0
0.0000 4.1431 4.1431
4.1431 0.0000 4.1431
4.1431 4.1431 0.0000
Na Li Rh F
1 2 1 6
Cartesian
0.0000 0.0000 0.0000 Na
2.0715 2.0715 2.0715 Li
6.2146 6.2146 6.2146 Li
4.1431 4.1431 4.1431 Rh
4.1431 4.1431 2.1521 F
4.1431 2.1521 4.1431 F
6.1341 4.1431 4.1431 F
2.1521 4.1431 4.1431 F
4.1431 6.1341 4.1431 F
4.1431 4.1431 6.1341 F
```

***

Structure and computed PXRD pattern of CrMo3 (a PBE-relaxed structure; Cu Kα (λ = 1.5418 Å)).
Intensities are scaled so that the largest is 1000.

Main lines, in order of rising 2θ (10° ≤ 2θ ≤ 80°):
- 32.64 deg, rel. 70
- 36.15 deg, rel. 458
- 39.95 deg, rel. 776
- 43.98 deg, rel. 1000
- 63.52 deg, rel. 287
- 64.33 deg, rel. 132
- 75.37 deg, rel. 119
- 77.73 deg, rel. 104

Structure:
```
CrMo3
1.0
2.9293 0.0000 0.0000
-1.4646 2.5368 0.0000
0.0000 0.0000 24.6918
Cr Mo
3 9
Cartesian
0.0000 0.0000 0.0000 Cr
0.0000 1.6912 16.4612 Cr
1.4646 0.8456 8.2306 Cr
0.0000 0.0000 6.2867 Mo
0.0000 0.0000 10.1064 Mo
0.0000 0.0000 20.5019 Mo
0.0000 1.6912 1.8758 Mo
0.0000 1.6912 12.2713 Mo
0.0000 1.6912 22.7479 Mo
1.4646 0.8456 4.0407 Mo
1.4646 0.8456 14.5173 Mo
1.4646 0.8456 18.3370 Mo
```

***

Structure and computed PXRD pattern of Ba3CaO4 (a PBE-relaxed structure; Cu Kα (λ = 1.5418 Å)).
Intensities are scaled so that the largest is 1000.

Main lines, in order of rising 2θ (10° ≤ 2θ ≤ 80°):
- 16.18 deg, rel. 158
- 28.21 deg, rel. 1000
- 32.69 deg, rel. 964
- 46.91 deg, rel. 667
- 55.64 deg, rel. 469
- 58.34 deg, rel. 225
- 75.66 deg, rel. 199
- 77.99 deg, rel. 283

Structure:
```
Ba3CaO4
1.0
5.4788 0.0000 0.0000
0.0000 5.4788 0.0000
0.0000 0.0000 5.4788
Ba Ca O
3 1 4
Cartesian
0.0000 0.0000 2.7394 Ba
0.0000 2.7394 0.0000 Ba
2.7394 0.0000 0.0000 Ba
2.7394 2.7394 2.7394 Ca
0.0000 0.0000 0.0000 O
0.0000 2.7394 2.7394 O
2.7394 0.0000 2.7394 O
2.7394 2.7394 0.0000 O
```

***

Structure and computed PXRD pattern of CdCuP2O7 (a PBE-relaxed structure; Cu Kα (λ = 1.5418 Å)).
Intensities are scaled so that the largest is 1000.

Main lines, in order of rising 2θ (10° ≤ 2θ ≤ 80°):
- 20.07 deg, rel. 315
- 28.57 deg, rel. 895
- 28.76 deg, rel. 1000
- 29.12 deg, rel. 459
- 33.66 deg, rel. 371
- 33.90 deg, rel. 353
- 41.54 deg, rel. 265
- 57.07 deg, rel. 320

Structure:
```
CdCuP2O7
1.0
3.4733 -4.3579 0.0000
3.4733 4.3579 0.0000
-1.3239 0.0000 4.4241
Cd Cu P O
1 1 2 7
Cartesian
0.0000 0.0000 0.0000 Cd
3.4733 1.0227 0.0000 Cu
1.2698 -1.6214 2.6121 P
4.3529 -1.6214 1.8119 P
1.1892 1.5248 0.9638 O
1.6410 2.6157 3.1543 O
1.0004 -0.2898 3.3538 O
3.9817 2.6157 1.2698 O
4.4335 1.5248 3.4602 O
2.8114 -1.5669 2.2120 O
4.6224 -0.2898 1.0702 O
```

***

Structure and computed PXRD pattern of EuRuO3 (a PBE-relaxed structure; Cu Kα (λ = 1.5418 Å)).
Intensities are scaled so that the largest is 1000.

Main lines, in order of rising 2θ (10° ≤ 2θ ≤ 80°):
- 22.31 deg, rel. 17
- 31.76 deg, rel. 1000
- 39.16 deg, rel. 64
- 45.53 deg, rel. 292
- 56.58 deg, rel. 392
- 66.35 deg, rel. 178
- 75.44 deg, rel. 170
- 79.83 deg, rel. 19

Structure:
```
EuRuO3
1.0
3.9847 0.0000 0.0000
0.0000 3.9847 0.0000
0.0000 0.0000 3.9847
Eu Ru O
1 1 3
Cartesian
0.0000 0.0000 0.0000 Eu
1.9923 1.9923 1.9923 Ru
0.0000 1.9923 1.9923 O
1.9923 0.0000 1.9923 O
1.9923 1.9923 0.0000 O
```

***

Structure and computed PXRD pattern of Er2ZnIn (a PBE-relaxed structure; Cu Kα (λ = 1.5418 Å)).
Intensities are scaled so that the largest is 1000.

Main lines, in order of rising 2θ (10° ≤ 2θ ≤ 80°):
- 24.43 deg, rel. 91
- 34.81 deg, rel. 1000
- 42.99 deg, rel. 28
- 50.06 deg, rel. 178
- 56.46 deg, rel. 40
- 62.42 deg, rel. 363
- 73.50 deg, rel. 111
- 78.78 deg, rel. 20

Structure:
```
Er2ZnIn
1.0
7.2886 0.0000 0.0000
0.0000 7.2886 0.0000
0.0000 0.0000 7.2886
Er Zn In
8 4 4
Cartesian
1.8221 1.8221 1.8221 Er
1.8221 1.8221 5.4664 Er
1.8221 5.4664 1.8221 Er
1.8221 5.4664 5.4664 Er
5.4664 1.8221 1.8221 Er
5.4664 1.8221 5.4664 Er
5.4664 5.4664 1.8221 Er
5.4664 5.4664 5.4664 Er
0.0000 0.0000 0.0000 Zn
0.0000 3.6443 3.6443 Zn
3.6443 0.0000 3.6443 Zn
3.6443 3.6443 0.0000 Zn
0.0000 0.0000 3.6443 In
0.0000 3.6443 0.0000 In
3.6443 0.0000 0.0000 In
3.6443 3.6443 3.6443 In
```

***

Structure and computed PXRD pattern of NaLi2TaF6 (a PBE-relaxed structure; Cu Kα (λ = 1.5418 Å)).
Intensities are scaled so that the largest is 1000.

Main lines, in order of rising 2θ (10° ≤ 2θ ≤ 80°):
- 18.02 deg, rel. 876
- 20.84 deg, rel. 1000
- 29.64 deg, rel. 455
- 34.90 deg, rel. 452
- 42.41 deg, rel. 305
- 47.70 deg, rel. 428
- 52.59 deg, rel. 195
- 65.71 deg, rel. 195

Structure:
```
NaLi2TaF6
1.0
0.0000 4.2629 4.2629
4.2629 0.0000 4.2629
4.2629 4.2629 0.0000
Na Li Ta F
1 2 1 6
Cartesian
0.0000 0.0000 0.0000 Na
2.1314 2.1314 2.1314 Li
6.3943 6.3943 6.3943 Li
4.2629 4.2629 4.2629 Ta
4.2629 4.2629 2.2198 F
4.2629 2.2198 4.2629 F
6.3059 4.2629 4.2629 F
2.2198 4.2629 4.2629 F
4.2629 6.3059 4.2629 F
4.2629 4.2629 6.3059 F
```

***

Structure and computed PXRD pattern of CrN2 (a PBE-relaxed structure; Cu Kα (λ = 1.5418 Å)).
Intensities are scaled so that the largest is 1000.

Main lines, in order of rising 2θ (10° ≤ 2θ ≤ 80°):
- 14.01 deg, rel. 386
- 18.63 deg, rel. 384
- 21.04 deg, rel. 932
- 22.39 deg, rel. 952
- 25.58 deg, rel. 1000
- 27.41 deg, rel. 347
- 33.35 deg, rel. 339
- 38.03 deg, rel. 264

Structure:
```
CrN2
1.0
4.2226 -4.7638 0.0000
4.2226 4.7638 0.0000
0.0000 0.0000 5.1040
Cr N
4 8
Cartesian
1.6112 1.4921 0.6813 Cr
1.6112 -1.4921 4.4228 Cr
6.8341 1.4921 1.8707 Cr
6.8341 -1.4921 3.2333 Cr
2.5811 2.0632 1.9978 N
4.2226 3.4548 3.8280 N
2.1727 0.0000 0.0000 N
5.8641 2.0632 0.5542 N
2.5811 -2.0632 3.1062 N
6.2725 0.0000 2.5520 N
4.2226 -3.4548 1.2760 N
5.8641 -2.0632 4.5498 N
```

***

Structure and computed PXRD pattern of Sr4Bi2O (a PBE-relaxed structure; Cu Kα (λ = 1.5418 Å)).
Intensities are scaled so that the largest is 1000.

Main lines, in order of rising 2θ (10° ≤ 2θ ≤ 80°):
- 18.22 deg, rel. 236
- 24.86 deg, rel. 434
- 26.85 deg, rel. 401
- 30.25 deg, rel. 240
- 32.14 deg, rel. 1000
- 35.45 deg, rel. 586
- 47.28 deg, rel. 277
- 61.58 deg, rel. 320

Structure:
```
Sr4Bi2O
1.0
5.0642 0.0000 0.0000
0.0000 5.0642 0.0000
0.0000 0.0000 17.7249
Sr Bi O
8 4 2
Cartesian
0.0000 0.0000 2.9608 Sr
0.0000 0.0000 14.7641 Sr
0.0000 2.5321 0.0000 Sr
0.0000 2.5321 8.8624 Sr
2.5321 0.0000 0.0000 Sr
2.5321 0.0000 8.8624 Sr
2.5321 2.5321 5.9016 Sr
2.5321 2.5321 11.8233 Sr
0.0000 0.0000 6.4038 Bi
0.0000 0.0000 11.3211 Bi
2.5321 2.5321 2.4586 Bi
2.5321 2.5321 15.2663 Bi
0.0000 0.0000 0.0000 O
2.5321 2.5321 8.8624 O
```

***

Structure and computed PXRD pattern of Rb2TlBiBr6 (a PBE-relaxed structure; Cu Kα (λ = 1.5418 Å)).
Intensities are scaled so that the largest is 1000.

Main lines, in order of rising 2θ (10° ≤ 2θ ≤ 80°):
- 14.72 deg, rel. 720
- 20.88 deg, rel. 713
- 29.69 deg, rel. 1000
- 33.29 deg, rel. 398
- 36.58 deg, rel. 343
- 42.49 deg, rel. 738
- 52.69 deg, rel. 258
- 69.91 deg, rel. 325

Structure:
```
Rb2TlBiBr6
1.0
0.0000 6.0179 6.0179
6.0179 0.0000 6.0179
6.0179 6.0179 0.0000
Rb Tl Bi Br
2 1 1 6
Cartesian
3.0089 3.0089 3.0089 Rb
9.0268 9.0268 9.0268 Rb
0.0000 0.0000 0.0000 Tl
6.0179 6.0179 6.0179 Bi
6.0179 6.0179 3.1473 Br
6.0179 3.1473 6.0179 Br
8.8885 6.0179 6.0179 Br
3.1473 6.0179 6.0179 Br
6.0179 8.8885 6.0179 Br
6.0179 6.0179 8.8885 Br
```

***

Structure and computed PXRD pattern of Sr3Sn4Bi (a PBE-relaxed structure; Cu Kα (λ = 1.5418 Å)).
Intensities are scaled so that the largest is 1000.

Main lines, in order of rising 2θ (10° ≤ 2θ ≤ 80°):
- 19.54 deg, rel. 264
- 27.61 deg, rel. 161
- 27.94 deg, rel. 171
- 30.34 deg, rel. 1000
- 31.32 deg, rel. 928
- 42.24 deg, rel. 276
- 44.87 deg, rel. 185
- 59.12 deg, rel. 222

Structure:
```
Sr3Sn4Bi
1.0
-4.5156 4.5156 6.4610
4.5156 -4.5156 6.4610
4.5156 4.5156 -6.4610
Sr Sn Bi
6 8 2
Cartesian
5.9869 1.4714 0.0000 Sr
0.0000 0.0000 3.2305 Sr
1.4714 3.0442 0.0000 Sr
3.0442 1.4714 6.4610 Sr
0.0000 0.0000 9.6915 Sr
-1.4714 3.0442 6.4610 Sr
5.7995 -1.2839 2.4289 Sn
3.2317 -1.2839 4.0321 Sn
3.2317 1.2839 2.4289 Sn
5.7995 1.2839 4.0321 Sn
-1.2839 3.2317 2.4289 Sn
1.2839 3.2317 4.0321 Sn
1.2839 5.7995 2.4289 Sn
-1.2839 5.7995 4.0321 Sn
0.0000 0.0000 0.0000 Bi
0.0000 0.0000 6.4610 Bi
```